For Ba2LiEuCu4O8, a structure optimized by DFT (GGA-PBE) gives the calculated XRD peak list in this record (λ = 1.5418 Å (Cu Kα)).
Peak positions follow from Bragg's law for the DFT cell and can differ from measured ones.

The 10 most intense peaks (2θ = 10–90°), in order of rising 2θ:
23.33°, d 3.813, rel. 22
24.61°, d 3.617, rel. 38
27.57°, d 3.235, rel. 28
31.53°, d 2.838, rel. 27
32.40°, d 2.764, rel. 100
33.58°, d 2.669, rel. 96
36.19°, d 2.482, rel. 61
45.92°, d 1.976, rel. 35
46.56°, d 1.950, rel. 33
58.60°, d 1.575, rel. 24

```
Ba2LiEuCu4O8
1.0
3.901 0.000 0.000
0.000 3.952 0.000
1.928 0.026 14.476
Ba Li Eu Cu O
2 1 1 4 8
Direct
0.000 0.000 0.000
0.206 0.503 0.588
0.428 0.502 0.143
0.331 0.505 0.333
0.561 0.501 0.876
0.634 0.002 0.734
0.775 0.004 0.448
0.888 0.005 0.218
0.283 0.004 0.431
0.391 0.005 0.211
0.495 0.500 0.008
0.567 0.001 0.866
0.627 0.502 0.746
0.697 0.003 0.607
0.783 0.504 0.432
0.891 0.505 0.211
```

For Ba2LiEuCu4O8, a structure optimized by DFT (GGA-PBE) gives the calculated XRD peak list in this record (λ = 1.5418 Å (Cu Kα)).
Peak positions follow from Bragg's law for the DFT cell and can differ from measured ones.

The 10 most intense peaks (2θ = 10–90°), in order of rising 2θ:
22.81°, d 3.899, rel. 53
25.00°, d 3.562, rel. 21
31.92°, d 2.803, rel. 60
32.45°, d 2.759, rel. 100
33.01°, d 2.714, rel. 84
37.13°, d 2.421, rel. 24
44.90°, d 2.019, rel. 32
46.63°, d 1.948, rel. 29
56.84°, d 1.620, rel. 35
57.95°, d 1.591, rel. 26

```
Ba2LiEuCu4O8
1.0
3.895 0.000 0.000
0.000 4.038 0.000
-0.034 0.000 15.131
Ba Li Eu Cu O
2 1 1 4 8
Direct
0.000 0.000 0.000
0.006 0.000 0.478
0.509 0.500 0.859
0.001 0.000 0.236
0.009 0.500 0.756
0.499 0.500 0.126
0.503 0.500 0.345
0.508 0.500 0.616
0.003 0.500 0.328
0.008 0.500 0.630
0.010 0.500 0.884
0.500 0.000 0.119
0.502 0.000 0.332
0.506 0.500 0.494
0.509 0.500 0.740
0.999 0.500 0.127
```

For Ba2LiEuCu4O8, a structure optimized by DFT (GGA-PBE) gives the calculated XRD peak list in this record (λ = 1.5418 Å (Cu Kα)).
Peak positions follow from Bragg's law for the DFT cell and can differ from measured ones.

The 10 most intense peaks (2θ = 10–90°), in order of rising 2θ:
29.48°, d 3.030, rel. 54
31.10°, d 2.876, rel. 39
31.96°, d 2.800, rel. 100
32.14°, d 2.785, rel. 52
32.47°, d 2.757, rel. 25
34.28°, d 2.616, rel. 55
44.82°, d 2.022, rel. 29
45.33°, d 2.001, rel. 31
46.33°, d 1.960, rel. 27
66.83°, d 1.400, rel. 24

```
Ba2LiEuCu4O8
1.0
2.002 -13.718 0.000
2.002 13.718 0.000
-0.132 0.000 4.045
Ba Li Eu Cu O
2 1 1 4 8
Direct
0.138 0.862 0.000
0.862 0.138 0.000
0.314 0.314 0.687
0.908 0.908 0.095
0.285 0.712 0.505
0.426 0.569 0.505
0.569 0.426 0.505
0.712 0.285 0.505
0.048 0.939 0.537
0.216 0.780 0.507
0.352 0.644 0.502
0.410 0.521 0.009
0.521 0.410 0.009
0.644 0.352 0.502
0.780 0.216 0.507
0.939 0.048 0.537
```